No. 1
The following is a computed powder diffraction line list of CaMnIrO6. It was derived from the GGA+U geometry in Alexandria, using CuKα.
Kinematic intensities with the Lorentz-polarization factor, no thermal factor.

Main lines, by angle (10° ≤ 2θ ≤ 80°):
hkl 1 0 0, 2θ 18.89, I = 14
hkl 0 0 2, 2θ 20.78, I = 28
hkl 1 0 1, 2θ 21.59, I = 100
hkl 1 0 2, 2θ 28.23, I = 81
hkl 1 1 0, 2θ 33.03, I = 53
hkl 1 0 3, 2θ 36.89, I = 18
hkl 1 1 2, 2θ 39.34, I = 42
hkl 2 0 2, 2θ 43.99, I = 24
hkl 2 1 1, 2θ 52.65, I = 16
hkl 2 -1 4, 2θ 54.68, I = 45
hkl 2 1 2, 2θ 56.09, I = 23
hkl 3 0 0, 2θ 58.99, I = 20

Atomic structure:
```
CaMnIrO6
1.0
5.4244 0.0000 0.0000
-2.7122 4.6977 0.0000
0.0000 0.0000 8.5482
Ca Mn Ir O
2 2 2 12
direct
0.3333 0.6667 0.2500
0.6667 0.3333 0.7500
0.0000 0.0000 0.0000
0.0000 0.0000 0.5000
0.3333 0.6667 0.7500
0.6667 0.3333 0.2500
0.0545 0.3677 0.6217
0.0545 0.6868 0.8783
0.3132 0.3677 0.8783
0.3132 0.9455 0.6217
0.3677 0.0545 0.1217
0.3677 0.3132 0.3783
0.6323 0.6868 0.6217
0.6323 0.9455 0.8783
0.6868 0.0545 0.3783
0.6868 0.6323 0.1217
0.9455 0.3132 0.1217
0.9455 0.6323 0.3783
```

No. 2
The following is a computed powder diffraction line list of CaMnIrO6. It was derived from the GGA+U geometry in Alexandria, using CuKα.
Kinematic intensities with the Lorentz-polarization factor, no thermal factor.

Main lines, by angle (10° ≤ 2θ ≤ 80°):
hkl 0 1 1, 2θ 20.19, I = 52
hkl 1 0 0, 2θ 20.55, I = 51
hkl 1 1 -1, 2θ 23.53, I = 100
hkl 0 0 2, 2θ 23.63, I = 49
hkl 0 2 0, 2θ 33.06, I = 25
hkl 1 1 1, 2θ 33.59, I = 97
hkl 2 0 -2, 2θ 33.97, I = 23
hkl 1 2 -2, 2θ 39.25, I = 19
hkl 2 2 -2, 2θ 48.13, I = 30
hkl 2 2 -4, 2θ 54.30, I = 22
hkl 1 1 3, 2θ 54.45, I = 20
hkl 3 1 -5, 2θ 60.54, I = 24

Atomic structure:
```
CaMnIrO6
1.0
5.2787 0.0000 0.0000
0.0000 5.4188 0.0000
-5.2693 0.0000 7.5300
Ca Mn Ir O
2 2 2 12
direct
0.0000 0.1912 0.0000
0.0000 0.8088 0.5000
0.7403 0.2568 0.2519
0.7403 0.7432 0.7519
0.2385 0.2577 0.7510
0.2385 0.7423 0.2510
0.0807 0.0407 0.2934
0.0807 0.9593 0.7934
0.3874 0.4518 0.2042
0.3874 0.5482 0.7042
0.4899 0.0490 0.7085
0.4899 0.9510 0.2085
0.5752 0.2744 0.9998
0.5752 0.7256 0.4998
0.9020 0.2350 0.5029
0.9020 0.7650 0.0029
0.9895 0.4515 0.7986
0.9895 0.5485 0.2986
```

No. 3
The following is a computed powder diffraction line list of Ca3Mn2Ir2O12. It was derived from the GGA+U geometry in Alexandria, using CuKα.
Kinematic intensities with the Lorentz-polarization factor, no thermal factor.

Main lines, by angle (10° ≤ 2θ ≤ 80°):
hkl 0 1 -1, 2θ 19.79, I = 66
hkl 1 0 1, 2θ 20.13, I = 64
hkl 1 1 0, 2θ 22.17, I = 62
hkl 1 -1 0, 2θ 23.53, I = 100
hkl 0 2 0, 2θ 32.13, I = 39
hkl 1 1 2, 2θ 32.53, I = 77
hkl 2 0 0, 2θ 33.00, I = 36
hkl -1 1 2, 2θ 33.52, I = 75
hkl 2 2 0, 2θ 45.22, I = 27
hkl 0 0 4, 2θ 48.08, I = 22
hkl 2 -2 2, 2θ 54.24, I = 23
hkl 3 -1 2, 2θ 59.90, I = 23

Atomic structure:
```
Ca3Mn2Ir2O12
1.0
5.4385 0.0000 0.0000
0.3359 5.5710 0.0000
0.0192 0.0106 7.5693
Ca Mn Ir O
3 2 2 12
direct
0.0000 0.0000 0.0000
0.0080 0.1097 0.4984
0.5313 0.4968 0.0004
0.0147 0.5564 0.2568
0.5011 0.0386 0.7447
0.0114 0.5540 0.7443
0.5050 0.0466 0.2560
0.1079 0.5670 0.9999
0.1796 0.8483 0.7150
0.2107 0.8714 0.2811
0.2929 0.3361 0.6952
0.2981 0.3370 0.3059
0.4171 0.0879 0.9994
0.5991 0.0074 0.4991
0.7189 0.7665 0.1907
0.7208 0.7657 0.8131
0.7857 0.2464 0.2078
0.8156 0.2769 0.7970
0.9136 0.5460 0.5026
```